Computed powder diffractogram
Compound: KHoMo2O8
Radiation: Cu Kα, 1.54184 Å
Structure: a cell relaxed with GGA+U
Peak positions follow from Bragg's law for the DFT cell and can differ from measured ones.

Structure:
```
KHoMo2O8
1.0
5.1274 0.0000 0.0000
0.0000 18.9118 0.0000
0.0000 0.0000 8.0418
K Ho Mo O
4 4 8 32
Cartesian
0.0000 4.2452 2.0105 K
0.0000 14.6666 6.0314 K
2.5637 5.2107 6.0314 K
2.5637 13.7011 2.0105 K
0.0000 0.0669 6.0314 Ho
0.0000 18.8449 2.0105 Ho
2.5637 9.3890 2.0105 Ho
2.5637 9.5228 6.0314 Ho
0.1139 7.5760 4.0937 Mo
0.1139 11.3358 0.0728 Mo
2.4497 1.8799 0.0728 Mo
2.4497 17.0319 4.0937 Mo
2.6776 1.8799 3.9481 Mo
2.6776 17.0319 7.9690 Mo
5.0134 7.5760 7.9690 Mo
5.0134 11.3358 3.9481 Mo
0.5111 5.9369 7.9321 O
0.5111 12.9749 3.9112 O
1.2040 7.6616 2.6679 O
1.2040 11.2502 6.6888 O
1.2440 7.7237 5.5106 O
1.2440 11.1881 1.4897 O
1.2640 0.6573 4.0479 O
1.2640 18.2545 0.0270 O
1.2997 8.7986 0.0270 O
1.2997 10.1132 4.0479 O
1.3197 1.7322 1.4897 O
1.3197 17.1796 5.5106 O
1.3597 1.7943 6.6888 O
1.3597 17.1175 2.6679 O
2.0525 3.5190 3.9112 O
2.0525 15.3928 7.9321 O
3.0748 3.5190 0.1097 O
3.0748 15.3928 4.1306 O
3.7677 1.7943 5.3739 O
3.7677 17.1175 1.3530 O
3.8077 1.7322 2.5312 O
3.8077 17.1796 6.5521 O
3.8277 8.7986 3.9939 O
3.8277 10.1132 8.0148 O
3.8633 0.6573 8.0148 O
3.8633 18.2545 3.9939 O
3.8833 7.7237 6.5521 O
3.8833 11.1881 2.5312 O
3.9234 7.6616 1.3530 O
3.9234 11.2502 5.3739 O
4.6162 5.9369 4.1306 O
4.6162 12.9749 0.1097 O
```

Most intense lines, 10 to 90 degrees two-theta, in order of rising 2θ:
- 2θ = 22.4°, I 44
- 2θ = 28.6°, I 100
- 2θ = 29.2°, I 39
- 2θ = 29.3°, I 56
- 2θ = 36.2°, I 16
- 2θ = 45.1°, I 12
- 2θ = 46.2°, I 40
- 2θ = 51.2°, I 19
- 2θ = 52.3°, I 19
- 2θ = 54.7°, I 18